This entry pairs a crystal structure of CeSe2 with its theoretical XRD peak list. Radiation: Cu Kα. Structure: a structure optimized by DFT (GGA-PBE).
Intensities are scaled so that the largest is 100.

Principal peaks in the range 2θ from 10° to 90°, low angle first:
2θ = 24.73°, rel. 13; 2θ = 30.98°, rel. 9; 2θ = 33.71°, rel. 100; 2θ = 36.75°, rel. 63; 2θ = 46.44°, rel. 18; 2θ = 50.72°, rel. 25; 2θ = 60.29°, rel. 18; 2θ = 62.29°, rel. 27; 2θ = 69.34°, rel. 5; 2θ = 70.89°, rel. 11; 2θ = 74.86°, rel. 19; 2θ = 82.61°, rel. 12

Structural model:
```
CeSe2
1.0
5.3176 0.0000 0.0000
-2.6588 4.6052 0.0000
0.0000 0.0000 5.7725
Ce Se
2 4
Direct
0.3333 0.6667 0.2500
0.6667 0.3333 0.7500
0.0000 0.0000 0.0000
0.0000 0.0000 0.5000
0.3333 0.6667 0.7500
0.6667 0.3333 0.2500
```

***

This entry pairs a crystal structure of CuPO3 with its theoretical XRD peak list. Radiation: Cu Kα. Structure: a structure optimized by DFT (GGA-PBE).
Intensities are scaled so that the largest is 100.

Principal peaks in the range 2θ from 10° to 90°, low angle first:
2θ = 10.82°, rel. 100; 2θ = 14.66°, rel. 32; 2θ = 18.25°, rel. 50; 2θ = 21.26°, rel. 43; 2θ = 21.73°, rel. 17; 2θ = 26.31°, rel. 45; 2θ = 30.59°, rel. 20; 2θ = 34.38°, rel. 38; 2θ = 35.26°, rel. 33; 2θ = 36.14°, rel. 27; 2θ = 39.73°, rel. 17; 2θ = 41.80°, rel. 26

Structural model:
```
CuPO3
1.0
8.1790 4.7221 2.2272
-8.1790 4.7221 2.2272
0.0000 -9.4443 2.2272
Cu P O
6 6 18
Direct
0.0536 0.6489 0.4541
0.3511 0.5459 0.9464
0.4541 0.0536 0.6489
0.5459 0.9464 0.3511
0.6489 0.4541 0.0536
0.9464 0.3511 0.5459
0.0620 0.8317 0.1937
0.1683 0.8063 0.9380
0.1937 0.0620 0.8317
0.8063 0.9380 0.1683
0.8317 0.1937 0.0620
0.9380 0.1683 0.8063
0.0046 0.6000 0.6959
0.0050 0.9686 0.2294
0.0314 0.7706 0.9950
0.1036 0.3821 0.8875
0.1125 0.8964 0.6179
0.2294 0.0050 0.9686
0.3041 0.9954 0.4000
0.3821 0.8875 0.1036
0.4000 0.3041 0.9954
0.6000 0.6959 0.0046
0.6179 0.1125 0.8964
0.6959 0.0046 0.6000
0.7706 0.9950 0.0314
0.8875 0.1036 0.3821
0.8964 0.6179 0.1125
0.9686 0.2294 0.0050
0.9950 0.0314 0.7706
0.9954 0.4000 0.3041
```

***

Please write out number 2 again, unchanged.
This entry pairs a crystal structure of CuPO3 with its theoretical XRD peak list. Radiation: Cu Kα. Structure: a structure optimized by DFT (GGA-PBE).
Intensities are scaled so that the largest is 100.

Principal peaks in the range 2θ from 10° to 90°, low angle first:
2θ = 10.82°, rel. 100; 2θ = 14.66°, rel. 32; 2θ = 18.25°, rel. 50; 2θ = 21.26°, rel. 43; 2θ = 21.73°, rel. 17; 2θ = 26.31°, rel. 45; 2θ = 30.59°, rel. 20; 2θ = 34.38°, rel. 38; 2θ = 35.26°, rel. 33; 2θ = 36.14°, rel. 27; 2θ = 39.73°, rel. 17; 2θ = 41.80°, rel. 26

Structural model:
```
CuPO3
1.0
8.1790 4.7221 2.2272
-8.1790 4.7221 2.2272
0.0000 -9.4443 2.2272
Cu P O
6 6 18
Direct
0.0536 0.6489 0.4541
0.3511 0.5459 0.9464
0.4541 0.0536 0.6489
0.5459 0.9464 0.3511
0.6489 0.4541 0.0536
0.9464 0.3511 0.5459
0.0620 0.8317 0.1937
0.1683 0.8063 0.9380
0.1937 0.0620 0.8317
0.8063 0.9380 0.1683
0.8317 0.1937 0.0620
0.9380 0.1683 0.8063
0.0046 0.6000 0.6959
0.0050 0.9686 0.2294
0.0314 0.7706 0.9950
0.1036 0.3821 0.8875
0.1125 0.8964 0.6179
0.2294 0.0050 0.9686
0.3041 0.9954 0.4000
0.3821 0.8875 0.1036
0.4000 0.3041 0.9954
0.6000 0.6959 0.0046
0.6179 0.1125 0.8964
0.6959 0.0046 0.6000
0.7706 0.9950 0.0314
0.8875 0.1036 0.3821
0.8964 0.6179 0.1125
0.9686 0.2294 0.0050
0.9950 0.0314 0.7706
0.9954 0.4000 0.3041
```

***

Repeat the second record exactly.
This entry pairs a crystal structure of CuPO3 with its theoretical XRD peak list. Radiation: Cu Kα. Structure: a structure optimized by DFT (GGA-PBE).
Intensities are scaled so that the largest is 100.

Principal peaks in the range 2θ from 10° to 90°, low angle first:
2θ = 10.82°, rel. 100; 2θ = 14.66°, rel. 32; 2θ = 18.25°, rel. 50; 2θ = 21.26°, rel. 43; 2θ = 21.73°, rel. 17; 2θ = 26.31°, rel. 45; 2θ = 30.59°, rel. 20; 2θ = 34.38°, rel. 38; 2θ = 35.26°, rel. 33; 2θ = 36.14°, rel. 27; 2θ = 39.73°, rel. 17; 2θ = 41.80°, rel. 26

Structural model:
```
CuPO3
1.0
8.1790 4.7221 2.2272
-8.1790 4.7221 2.2272
0.0000 -9.4443 2.2272
Cu P O
6 6 18
Direct
0.0536 0.6489 0.4541
0.3511 0.5459 0.9464
0.4541 0.0536 0.6489
0.5459 0.9464 0.3511
0.6489 0.4541 0.0536
0.9464 0.3511 0.5459
0.0620 0.8317 0.1937
0.1683 0.8063 0.9380
0.1937 0.0620 0.8317
0.8063 0.9380 0.1683
0.8317 0.1937 0.0620
0.9380 0.1683 0.8063
0.0046 0.6000 0.6959
0.0050 0.9686 0.2294
0.0314 0.7706 0.9950
0.1036 0.3821 0.8875
0.1125 0.8964 0.6179
0.2294 0.0050 0.9686
0.3041 0.9954 0.4000
0.3821 0.8875 0.1036
0.4000 0.3041 0.9954
0.6000 0.6959 0.0046
0.6179 0.1125 0.8964
0.6959 0.0046 0.6000
0.7706 0.9950 0.0314
0.8875 0.1036 0.3821
0.8964 0.6179 0.1125
0.9686 0.2294 0.0050
0.9950 0.0314 0.7706
0.9954 0.4000 0.3041
```